# FeH8Cl2O4
Theoretical PXRD pattern, a wavelength of 1.5418 Å. Input: DFT lattice parameters and positions (PBE+U).
Lines closer than 0.1° are merged.

Peak list (6 most intense, 15° ≤ 2θ ≤ 90°, by angle)
2θ 16.28, I = 95, hkl 1 1 -1
2θ 19.92, I = 52, hkl 1 1 1
2θ 22.40, I = 83, hkl 0 2 -2
2θ 28.89, I = 100, hkl 2 0 2
2θ 40.48, I = 59, hkl 2 2 2
2θ 40.79, I = 61, hkl 2 0 4

Cell and atoms:
a b c (Å): 7.4817 8.5138 11.7703
angles (deg): 111.19 90.01 90.01
Space group P-1 (No. 2)
Unique sites:
Fe: 0.0001 0.2501 0.2500 (multiplicity 2)
Fe: 0.4993 0.2499 0.7503 (multiplicity 2)
H: 0.0744 0.0440 0.6966 (multiplicity 2)
H: 0.0744 0.4046 0.7014 (multiplicity 2)
H: 0.0743 0.5440 0.1965 (multiplicity 2)
H: 0.0745 0.9048 0.2015 (multiplicity 2)
H: 0.2031 0.2571 0.4457 (multiplicity 2)
H: 0.2031 0.7570 0.9459 (multiplicity 2)
H: 0.2091 0.4403 0.4449 (multiplicity 2)
H: 0.2090 0.9400 0.9447 (multiplicity 2)
H: 0.2906 0.4395 0.9447 (multiplicity 2)
H: 0.2911 0.9398 0.4447 (multiplicity 2)
H: 0.2967 0.2565 0.9462 (multiplicity 2)
H: 0.2970 0.7568 0.4458 (multiplicity 2)
H: 0.4255 0.5442 0.6966 (multiplicity 2)
H: 0.4257 0.0442 0.1965 (multiplicity 2)
H: 0.4256 0.4045 0.2014 (multiplicity 2)
H: 0.4256 0.9044 0.7014 (multiplicity 2)
Cl: 0.2360 0.1723 0.5978 (multiplicity 2)
Cl: 0.2362 0.6724 0.0978 (multiplicity 2)
Cl: 0.2640 0.1722 0.0979 (multiplicity 2)
Cl: 0.2640 0.6722 0.5977 (multiplicity 2)
O: 0.0003 0.9997 0.2523 (multiplicity 2)
O: 0.9997 0.5004 0.2477 (multiplicity 2)
O: 0.1921 0.3216 0.3911 (multiplicity 2)
O: 0.1918 0.8212 0.8911 (multiplicity 2)
O: 0.3079 0.3206 0.8913 (multiplicity 2)
O: 0.3082 0.8210 0.3910 (multiplicity 2)
O: 0.5003 0.0006 0.2477 (multiplicity 2)
O: 0.4997 0.4995 0.2523 (multiplicity 2)